Diffraction record for CsMgBiPb. The X-ray diffraction stick pattern is simulated, not measured: it uses a cell relaxed with PBE and Cu Kα X-rays.
Kinematic intensities with the Lorentz-polarization factor, no thermal factor.

Main lines, in order of rising 2θ (10° ≤ 2θ ≤ 90°):
2θ = 16.95°, intensity 64; 2θ = 22.31°, intensity 79; 2θ = 25.71°, intensity 97; 2θ = 27.87°, intensity 99; 2θ = 29.59°, intensity 100; 2θ = 35.74°, intensity 49; 2θ = 38.95°, intensity 64; 2θ = 44.35°, intensity 42

Crystal structure
```
data_CsMgBiPb
_chemical_formula_sum 'Cs2 Mg2 Bi2 Pb2'
_space_group_name_H-M_alt 'P 4/n m m'
_space_group_IT_number 129
_cell_length_a 4.6248
_cell_length_b 4.6248
_cell_length_c 15.6944
_cell_angle_alpha 90.00
_cell_angle_beta 90.00
_cell_angle_gamma 90.00
loop_
_space_group_symop_operation_xyz
'x,y,z'
'-x,-y,-z'
'-y+1/2,x,z'
'y+1/2,-x,-z'
'-x+1/2,-y+1/2,z'
'x+1/2,y+1/2,-z'
'y,-x+1/2,z'
'-y,x+1/2,-z'
'x+1/2,-y,-z'
'-x+1/2,y,z'
'-y,-x,-z'
'y,x,z'
'-x,y+1/2,-z'
'x,-y+1/2,z'
'y+1/2,x+1/2,-z'
'-y+1/2,-x+1/2,z'
loop_
_atom_site_label
_atom_site_fract_x
_atom_site_fract_y
_atom_site_fract_z
Cs1 0.2500 0.2500 0.2418
Mg1 0.2500 0.7500 0.5000
Bi1 0.2500 0.2500 0.6202
Pb1 0.2500 0.7500 0.0000
```

=====

Diffraction record for Cs2MnBi2S5. The X-ray diffraction stick pattern is simulated, not measured: it uses a cell relaxed with PBE and Cu Kα X-rays.
Kinematic intensities with the Lorentz-polarization factor, no thermal factor.

Main lines, in order of rising 2θ (10° ≤ 2θ ≤ 90°):
2θ = 11.03°, intensity 68; 2θ = 22.19°, intensity 100; 2θ = 26.33°, intensity 56; 2θ = 27.47°, intensity 29; 2θ = 28.74°, intensity 77; 2θ = 36.66°, intensity 27; 2θ = 38.23°, intensity 29; 2θ = 43.18°, intensity 34

Crystal structure
```
data_Cs2MnBi2S5
_chemical_formula_sum 'Cs8 Mn4 Bi8 S20'
_space_group_name_H-M_alt 'P n m a'
_space_group_IT_number 62
_cell_length_a 16.0468
_cell_length_b 4.1892
_cell_length_c 18.4654
_cell_angle_alpha 90.00
_cell_angle_beta 90.00
_cell_angle_gamma 90.00
loop_
_space_group_symop_operation_xyz
'x,y,z'
'-x,-y,-z'
'-x+1/2,-y,z+1/2'
'x+1/2,y,-z+1/2'
'x+1/2,-y+1/2,-z+1/2'
'-x+1/2,y+1/2,z+1/2'
'-x,y+1/2,-z'
'x,-y+1/2,z'
loop_
_atom_site_label
_atom_site_fract_x
_atom_site_fract_y
_atom_site_fract_z
Cs1 0.0062 0.2500 0.1224
Cs2 0.0356 0.7500 0.3815
Mn1 0.2097 0.2500 0.8556
Bi1 0.2104 0.7500 0.6986
Bi2 0.2484 0.7500 0.0172
S1 0.1105 0.2500 0.7570
S2 0.1365 0.7500 0.5627
S3 0.1419 0.2500 0.9713
S4 0.1813 0.7500 0.1489
S5 0.2107 0.2500 0.3452
```